Sr2Al7Pt12: calculated powder X-ray diffraction pattern (Cu Kα X-rays), based on a GGA-PBE-relaxed structure.
Lines closer than 0.1° are merged.

Top 12 peaks for 2θ = 15–90°, by angle:
2θ (°)	I_rel
17.65	96
27.10	198
27.94	185
34.85	1000
37.25	116
42.08	171
43.41	294
43.79	235
45.42	196
47.89	94
64.93	137
74.67	112

Cell and atoms:
Unit cell a=10.051 b=10.051 c=4.135 alpha=90.00 beta=90.00 gamma=120.00
Sites, in units of the cell vectors:
Sr 0.000 0.000 0.000
Sr 0.333 0.667 0.500
Al 0.039 0.455 0.000
Al 0.269 0.249 0.500
Al 0.416 0.961 0.000
Al 0.545 0.584 0.000
Al 0.667 0.333 0.000
Al 0.751 0.020 0.500
Al 0.980 0.731 0.500
Pt 0.029 0.272 0.500
Pt 0.137 0.744 0.000
Pt 0.243 0.971 0.500
Pt 0.256 0.393 0.000
Pt 0.385 0.194 0.000
Pt 0.557 0.424 0.500
Pt 0.576 0.133 0.500
Pt 0.607 0.863 0.000
Pt 0.728 0.757 0.500
Pt 0.806 0.192 0.000
Pt 0.808 0.615 0.000
Pt 0.867 0.443 0.500